This entry pairs a crystal structure of SrTb2Fe2O7 with its computed powder XRD pattern. Radiation: CuKα. Structure: a DFT-relaxed cell (PBE+U, Alexandria).
Peak positions follow from Bragg's law for the DFT cell and can differ from measured ones.

Atomic structure:
Unit cell a=5.5919 b=5.5919 c=19.5835 alpha=90.00 beta=90.00 gamma=90.00
Fractional coordinates of all 48 atoms:
Sr 0.2409 0.2409 0.0000
Sr 0.2591 0.7409 0.5000
Sr 0.7409 0.2591 0.5000
Sr 0.7591 0.7591 0.0000
Tb 0.2227 0.2227 0.1833
Tb 0.2227 0.2227 0.8167
Tb 0.2773 0.7227 0.3167
Tb 0.2773 0.7227 0.6833
Tb 0.7227 0.2773 0.3167
Tb 0.7227 0.2773 0.6833
Tb 0.7773 0.7773 0.1833
Tb 0.7773 0.7773 0.8167
Fe 0.2416 0.2416 0.3992
Fe 0.2416 0.2416 0.6008
Fe 0.2584 0.7416 0.1008
Fe 0.2584 0.7416 0.8992
Fe 0.7416 0.2584 0.1008
Fe 0.7416 0.2584 0.8992
Fe 0.7584 0.7584 0.3992
Fe 0.7584 0.7584 0.6008
O 0.0000 0.0000 0.0901
O 0.0000 0.0000 0.3688
O 0.0000 0.0000 0.6312
O 0.0000 0.0000 0.9099
O 0.0000 0.5000 0.1121
O 0.0000 0.5000 0.3879
O 0.0000 0.5000 0.6121
O 0.0000 0.5000 0.8879
O 0.1858 0.8142 0.2103
O 0.1858 0.8142 0.7897
O 0.2038 0.2038 0.5000
O 0.2962 0.7038 0.0000
O 0.3142 0.3142 0.2897
O 0.3142 0.3142 0.7103
O 0.5000 0.0000 0.1121
O 0.5000 0.0000 0.3879
O 0.5000 0.0000 0.6121
O 0.5000 0.0000 0.8879
O 0.5000 0.5000 0.1312
O 0.5000 0.5000 0.4099
O 0.5000 0.5000 0.5901
O 0.5000 0.5000 0.8688
O 0.6858 0.6858 0.2897
O 0.6858 0.6858 0.7103
O 0.7038 0.2962 0.0000
O 0.7962 0.7962 0.5000
O 0.8142 0.1858 0.2103
O 0.8142 0.1858 0.7897

Most intense lines, 2θ from 10° to 90°, sorted by position:
2θ/deg, Rel. int., (hkl)
22.95, 10.6, 1 1 1
26.35, 23.0, 1 1 3
27.32, 11.3, 0 0 6
32.01, 61.6, 2 0 0
32.17, 100.0, 1 1 5
42.58, 18.8, 2 0 6
45.90, 32.6, 2 2 0
56.70, 9.9, 1 1 11
57.15, 36.4, 3 1 5
57.45, 12.6, 2 0 10